This entry pairs a crystal structure of BaSrLi2Rh with its computed XRD peak list. Radiation: Cu Kα (weighted mean of Kα1 and Kα2). Structure: a cell relaxed with PBE.
Neutral-atom scattering factors, no anomalous dispersion.

Structure:
Lattice parameters (Å, degrees): 5.3152 5.3152 5.4833 90.00 90.00 90.00
Space group P4/mmm (No. 123)
Unique sites:
Ba: 0.0000 0.0000 0.0000 x1
Sr: 0.5000 0.5000 0.0000 x1
Li: 0.0000 0.5000 0.5000 x2
Rh: 0.5000 0.5000 0.5000 x1

The 6 most intense peaks (10 to 90 degrees two-theta), low angle first:
2θ 23.3, rel. 46.7, (1 0 1)
2θ 23.7, rel. 100.0, (1 1 0)
2θ 32.7, rel. 24.8, (0 0 2)
2θ 33.7, rel. 45.5, (2 0 0)
2θ 40.7, rel. 47.3, (1 1 2)
2θ 47.7, rel. 33.9, (2 0 2)